1.
Computed X-ray powder pattern of Pm2AgGe4 for Cu Kα (λ = 1.5418 Å), from a crystal structure in Alexandria, relaxed with PBE.
No peak broadening, texture or thermal motion is included.

Structural model:
```
data_Pm2AgGe4
_cell_length_a 4.2046
_cell_length_b 4.2046
_cell_length_c 9.2324
_cell_angle_alpha 90.00
_cell_angle_beta 90.00
_cell_angle_gamma 90.00
_symmetry_space_group_name_H-M 'P -4 m 2'
_symmetry_Int_Tables_number 115
loop_
_symmetry_equiv_pos_as_xyz
'x,y,z'
'y,-x,-z'
'-x,-y,z'
'-y,x,-z'
'-x,y,z'
'-y,-x,-z'
'x,-y,z'
'y,x,-z'
loop_
_atom_site_label
_atom_site_type_symbol
_atom_site_fract_x
_atom_site_fract_y
_atom_site_fract_z
_atom_site_occupancy
Pm1 Pm 0.0000 0.5000 0.2421 1
Ag1 Ag 0.5000 0.5000 0.0000 1
Ge1 Ge 0.0000 0.0000 0.5000 1
Ge2 Ge 0.0000 0.5000 0.8039 1
Ge3 Ge 0.5000 0.5000 0.5000 1
```

Principal peaks in the range 5 to 70 degrees two-theta, most intense first:
h k l  Position (°2θ)  intensity
1 1 2  35.9  100
2 0 0  43.0  33
1 0 1  23.2  24
2 0 4  59.5  17
0 0 4  39.0  15
1 0 3  36.2  12



2.
Computed X-ray powder pattern of Pm3Ag2Ge4 for Cu Kα (λ = 1.5418 Å), from a crystal structure in Alexandria, relaxed with PBE.
No peak broadening, texture or thermal motion is included.

Structural model:
```
data_Pm3Ag2Ge4
_cell_length_a 11.0464
_cell_length_b 4.4706
_cell_length_c 8.5380
_cell_angle_alpha 90.00
_cell_angle_beta 104.67
_cell_angle_gamma 90.00
_symmetry_space_group_name_H-M 'C 1 2/m 1'
_symmetry_Int_Tables_number 12
loop_
_symmetry_equiv_pos_as_xyz
'x,y,z'
'-x,-y,-z'
'-x,y,-z'
'x,-y,z'
'x+1/2,y+1/2,z'
'-x+1/2,-y+1/2,-z'
'-x+1/2,y+1/2,-z'
'x+1/2,-y+1/2,z'
loop_
_atom_site_label
_atom_site_type_symbol
_atom_site_fract_x
_atom_site_fract_y
_atom_site_fract_z
_atom_site_occupancy
Pm1 Pm 0.0000 0.0000 0.0000 1
Pm2 Pm 0.1612 0.5000 0.6724 1
Ag1 Ag 0.1175 0.5000 0.2836 1
Ge1 Ge 0.0624 0.0000 0.3950 1
Ge2 Ge 0.2141 0.5000 0.0430 1
```

Principal peaks in the range 5 to 70 degrees two-theta, most intense first:
h k l  Position (°2θ)  intensity
3 1 0  32.1  100
0 0 3  32.5  50
3 1 -3  41.3  47
1 1 5  62.6  26
0 2 0  40.3  26
0 2 3  52.7  25



3.
Computed X-ray powder pattern of Pm7Ag2Ge2 for Cu Kα (λ = 1.5418 Å), from a crystal structure in Alexandria, relaxed with PBE.
No peak broadening, texture or thermal motion is included.

Structural model:
```
data_Pm7Ag2Ge2
_cell_length_a 7.8710
_cell_length_b 10.9703
_cell_length_c 7.5284
_cell_angle_alpha 90.00
_cell_angle_beta 90.00
_cell_angle_gamma 90.00
_symmetry_space_group_name_H-M 'C m m m'
_symmetry_Int_Tables_number 65
_symmetry_space_group_name_Hall '-C 2 2'
loop_
_atom_site_label
_atom_site_type_symbol
_atom_site_fract_x
_atom_site_fract_y
_atom_site_fract_z
_atom_site_occupancy
Pm1 Pm 0.0000 0.0000 0.0000 1
Pm2 Pm 0.0000 0.5000 0.2666 1
Pm3 Pm 0.2500 0.2500 0.2945 1
Ag1 Ag 0.0000 0.2858 0.0000 1
Ge1 Ge 0.1676 0.0000 0.5000 1
```

Principal peaks in the range 5 to 70 degrees two-theta, most intense first:
h k l  Position (°2θ)  intensity
2 2 2  36.9  100
0 4 0  32.7  72
2 2 0  27.9  69
1 1 2  27.5  54
1 3 2  36.1  53
2 0 1  25.5  53



4.
Computed X-ray powder pattern of Pm12AgGe6 for Cu Kα (λ = 1.5418 Å), from a crystal structure in Alexandria, relaxed with PBE.
No peak broadening, texture or thermal motion is included.

Structural model:
```
data_Pm12AgGe6
_cell_length_a 13.3562
_cell_length_b 13.3562
_cell_length_c 11.7677
_cell_angle_alpha 90.00
_cell_angle_beta 90.00
_cell_angle_gamma 120.00
_symmetry_space_group_name_H-M 'R -3'
_symmetry_Int_Tables_number 148
_symmetry_space_group_name_Hall '-R 3'
loop_
_atom_site_label
_atom_site_type_symbol
_atom_site_fract_x
_atom_site_fract_y
_atom_site_fract_z
_atom_site_occupancy
Pm1 Pm 0.0294 0.8283 0.3849 1
Pm2 Pm 0.0446 0.8277 0.8881 1
Ag1 Ag 0.0000 0.0000 0.0000 1
Ge1 Ge 0.0391 0.7777 0.6461 1
```

Principal peaks in the range 5 to 70 degrees two-theta, most intense first:
h k l  Position (°2θ)  intensity
4 1 0  35.6  100
1 2 2  25.4  87
3 -1 4  36.8  76
4 -1 2  31.8  55
1 0 4  31.4  34
3 -1 1  21.7  27



5.
Computed X-ray powder pattern of Pm3Ag4Ge2 for Cu Kα (λ = 1.5418 Å), from a crystal structure in Alexandria, relaxed with PBE.
No peak broadening, texture or thermal motion is included.

Structural model:
```
data_Pm3Ag4Ge2
_cell_length_a 11.0582
_cell_length_b 4.5755
_cell_length_c 8.9314
_cell_angle_alpha 90.00
_cell_angle_beta 112.83
_cell_angle_gamma 90.00
_symmetry_space_group_name_H-M 'C 1 2/m 1'
_symmetry_Int_Tables_number 12
loop_
_symmetry_equiv_pos_as_xyz
'x,y,z'
'-x,-y,-z'
'-x,y,-z'
'x,-y,z'
'x+1/2,y+1/2,z'
'-x+1/2,-y+1/2,-z'
'-x+1/2,y+1/2,-z'
'x+1/2,-y+1/2,z'
loop_
_atom_site_label
_atom_site_type_symbol
_atom_site_fract_x
_atom_site_fract_y
_atom_site_fract_z
_atom_site_occupancy
Pm1 Pm 0.0000 0.0000 0.0000 1
Pm2 Pm 0.1719 0.5000 0.6563 1
Ag1 Ag 0.0482 0.0000 0.3793 1
Ag2 Ag 0.2136 0.5000 0.0553 1
Ge1 Ge 0.1074 0.5000 0.2765 1
```

Principal peaks in the range 5 to 70 degrees two-theta, most intense first:
h k l  Position (°2θ)  intensity
3 1 0  32.9  100
3 1 -3  38.6  61
0 2 0  39.4  30
0 0 3  32.6  27
0 2 3  52.0  25
4 0 -1  32.5  21



6.
Computed X-ray powder pattern of PmPrAg2Ge2 for Cu Kα (λ = 1.5418 Å), from a crystal structure in Alexandria, relaxed with PBE.
No peak broadening, texture or thermal motion is included.

Structural model:
```
data_PmPrAg2Ge2
_cell_length_a 4.5437
_cell_length_b 4.5437
_cell_length_c 7.7696
_cell_angle_alpha 90.00
_cell_angle_beta 90.00
_cell_angle_gamma 120.00
_symmetry_space_group_name_H-M 'P -3 m 1'
_symmetry_Int_Tables_number 164
_symmetry_space_group_name_Hall '-P 3 2"'
loop_
_atom_site_label
_atom_site_type_symbol
_atom_site_fract_x
_atom_site_fract_y
_atom_site_fract_z
_atom_site_occupancy
Pm1 Pm 0.0000 0.0000 0.0000 1
Pr1 Pr 0.0000 0.0000 0.5000 1
Ag1 Ag 0.3333 0.6667 0.2421 1
Ge1 Ge 0.3333 0.6667 0.7527 1
```

Principal peaks in the range 5 to 70 degrees two-theta, most intense first:
h k l  Position (°2θ)  intensity
0 1 2  32.4  100
1 1 0  39.7  56
1 1 4  63.0  27
2 0 2  52.1  26
1 2 2  67.4  23
0 0 4  46.8  11